Record 1
The following is a computed powder X-ray diffraction pattern of LiCu2S2. It was derived from a DFT-relaxed cell (GGA-PBE, Alexandria), using Cu Kα, 1.54184 Å.
Neutral-atom scattering factors, no anomalous dispersion.

Peak list (10 most intense, 2θ = 10–80°, low angle first)
2θ/deg  Rel. int.  (hkl)
18.00  100  2 0 0
19.45  98  0 0 2
21.46  50  1 0 2
30.28  40  2 1 0
31.86  44  2 1 1
32.51  39  1 1 2
33.62  63  3 0 2
47.78  50  1 1 4
48.73  45  4 1 2
49.43  39  0 2 0

Atomic structure:
Cell lengths 9.8539, 3.6874, 9.1265 Å; angles 90.00, 90.00, 90.00 degrees
Space group Pnma (No. 62)
Asymmetric unit:
Li (0.1942, 0.2500, 0.1857) (multiplicity 4)
Cu (0.0570, 0.2500, 0.9021) (multiplicity 4)
Cu (0.0950, 0.2500, 0.4601) (multiplicity 4)
S (0.0302, 0.7500, 0.3262) (multiplicity 4)
S (0.1731, 0.7500, 0.9755) (multiplicity 4)

---

Record 2
The following is a computed powder X-ray diffraction pattern of Li3CuS2. It was derived from a DFT-relaxed cell (GGA-PBE, Alexandria), using Cu Kα, 1.54184 Å.
Neutral-atom scattering factors, no anomalous dispersion.

Peak list (10 most intense, 2θ = 10–80°, low angle first)
2θ/deg  Rel. int.  (hkl)
19.27  94  2 1 1
27.38  59  2 2 2
29.63  61  3 2 1
37.39  17  3 3 2
43.96  21  5 1 2
45.48  100  4 4 0
49.82  21  5 3 2
53.91  21  6 2 2
60.28  15  7 2 1
66.28  15  8 0 0

Atomic structure:
Cell lengths 11.2820, 11.2820, 11.2820 Å; angles 90.00, 90.00, 90.00 degrees
Space group Ia-3 (No. 206)
Asymmetric unit:
Li (0.1235, 0.1279, 0.6254) (multiplicity 48)
Cu (0.1220, 0.1220, 0.1220) (multiplicity 16)
S (0.0000, 0.2500, 0.0025) (multiplicity 24)
S (0.2500, 0.2500, 0.2500) (multiplicity 8)

---

Record 3
The following is a computed powder X-ray diffraction pattern of Li3CuS2. It was derived from a DFT-relaxed cell (GGA-PBE, Alexandria), using Cu Kα, 1.54184 Å.
Neutral-atom scattering factors, no anomalous dispersion.

Peak list (10 most intense, 2θ = 10–80°, low angle first)
2θ/deg  Rel. int.  (hkl)
19.21  38  0 1 2
26.77  100  1 1 0
33.16  13  2 0 2
43.12  12  1 2 2
44.51  31  1 1 6
47.28  24  3 0 0
49.84  15  0 1 8
55.16  11  2 2 0
64.50  12  1 2 8
75.53  10  4 1 0

Atomic structure:
Cell lengths 6.6605, 6.6605, 15.4339 Å; angles 90.00, 90.00, 120.00 degrees
Space group R-3c (No. 167, hexagonal axes)
Asymmetric unit:
Li (0.0000, 0.2757, 0.2500) (multiplicity 18)
Cu (0.0000, 0.0000, 0.0000) (multiplicity 6)
S (0.0000, 0.0000, 0.1378) (multiplicity 12)

---

Record 4
The following is a computed powder X-ray diffraction pattern of LiCuS2. It was derived from a DFT-relaxed cell (GGA-PBE, Alexandria), using Cu Kα, 1.54184 Å.
Neutral-atom scattering factors, no anomalous dispersion.

Peak list (10 most intense, 2θ = 10–80°, low angle first)
2θ/deg  Rel. int.  (hkl)
19.99  100  1 1 0
26.79  12  0 2 0
30.77  18  1 2 0
33.34  19  1 1 1
40.62  18  2 2 0
40.98  23  1 2 1
42.68  42  2 1 1
49.14  29  0 3 1
53.48  16  3 0 1
58.51  10  1 1 2

Atomic structure:
Cell lengths 5.9655, 6.6546, 3.3750 Å; angles 90.00, 90.00, 90.00 degrees
Space group Pnnm (No. 58)
Asymmetric unit:
Li (0.0000, 0.0000, 0.0000) (multiplicity 2)
Cu (0.0000, 0.5000, 0.5000) (multiplicity 2)
S (0.1841, 0.3541, 0.0000) (multiplicity 4)

---

Record 5
The following is a computed powder X-ray diffraction pattern of Li3CuS3. It was derived from a DFT-relaxed cell (GGA-PBE, Alexandria), using Cu Kα, 1.54184 Å.
Neutral-atom scattering factors, no anomalous dispersion.

Peak list (10 most intense, 2θ = 10–80°, low angle first)
2θ/deg  Rel. int.  (hkl)
11.68  27  1 1 0
18.52  21  2 1 0
21.21  100  1 0 1
22.80  34  1 1 1
33.47  38  4 0 0
39.61  19  0 0 2
39.96  17  4 1 1
46.88  33  5 0 1
52.80  19  4 0 2
58.82  18  5 4 1

Atomic structure:
Cell lengths 10.7108, 10.7108, 4.5506 Å; angles 90.00, 90.00, 90.00 degrees
Space group P4_2/mnm (No. 136)
Asymmetric unit:
Li (0.1109, 0.3804, 0.0000) (multiplicity 8)
Li (0.1637, 0.1637, 0.5000) (multiplicity 4)
Cu (0.1140, 0.8860, 0.0000) (multiplicity 4)
S (0.0930, 0.0930, 0.0000) (multiplicity 4)
S (0.1085, 0.6767, 0.0000) (multiplicity 8)

---

Record 6
The following is a computed powder X-ray diffraction pattern of Li4CuS3. It was derived from a DFT-relaxed cell (GGA-PBE, Alexandria), using Cu Kα, 1.54184 Å.
Neutral-atom scattering factors, no anomalous dispersion.

Peak list (10 most intense, 2θ = 10–80°, low angle first)
2θ/deg  Rel. int.  (hkl)
15.65  27  2 0 0
16.34  28  1 1 0
18.25  33  1 1 -1
21.40  25  1 1 1
22.58  100  2 0 -2
25.65  49  1 1 -2
33.07  31  2 2 -1
45.54  21  4 0 2
46.36  21  3 1 -4
52.05  16  1 3 2

Atomic structure:
Cell lengths 12.0866, 6.1777, 8.3975 Å; angles 90.00, 110.45, 90.00 degrees
Space group Cc (No. 9)
Asymmetric unit:
Li (0.0000, 0.1499, 0.0000) (multiplicity 4)
Li (0.0825, 0.2944, 0.6923) (multiplicity 4)
Li (0.1492, 0.1515, 0.3874) (multiplicity 4)
Li (0.2690, 0.3220, 0.0856) (multiplicity 4)
Cu (0.4098, 0.1266, 0.7877) (multiplicity 4)
S (0.0813, 0.4864, 0.9457) (multiplicity 4)
S (0.2251, 0.0208, 0.6816) (multiplicity 4)
S (0.4398, 0.4719, 0.7281) (multiplicity 4)

---

Record 7
The following is a computed powder X-ray diffraction pattern of LiCuSbS2. It was derived from a DFT-relaxed cell (GGA-PBE, Alexandria), using Cu Kα, 1.54184 Å.
Neutral-atom scattering factors, no anomalous dispersion.

Peak list (10 most intense, 2θ = 10–80°, low angle first)
2θ/deg  Rel. int.  (hkl)
22.13  66  0 1 1
26.99  81  1 0 -2
29.26  100  1 1 1
35.27  26  2 1 -1
39.02  55  1 2 0
41.77  25  2 1 1
43.35  30  1 1 -3
44.72  23  0 1 3
49.27  23  3 1 -1
50.91  37  2 2 -2

Atomic structure:
Cell lengths 5.9637, 5.0453, 6.9187 Å; angles 90.00, 106.37, 90.00 degrees
Space group P2/c (No. 13)
Asymmetric unit:
Li (0.0000, 0.0239, 0.2500) (multiplicity 2)
Cu (0.0000, 0.5000, 0.0000) (multiplicity 2)
Sb (0.5000, 0.2697, 0.7500) (multiplicity 2)
S (0.2697, 0.1989, 0.0371) (multiplicity 4)

---

Record 8
The following is a computed powder X-ray diffraction pattern of LiTiCu2S4. It was derived from a DFT-relaxed cell (GGA-PBE, Alexandria), using Cu Kα, 1.54184 Å.
Neutral-atom scattering factors, no anomalous dispersion.

Peak list (10 most intense, 2θ = 10–80°, low angle first)
2θ/deg  Rel. int.  (hkl)
16.51  14  0 0 2
18.43  14  1 0 1
23.36  11  1 1 0
28.74  100  1 1 2
37.36  6  2 0 2
47.82  63  2 0 4
56.71  25  3 1 2
56.85  13  1 1 6
69.87  6  4 0 0
77.35  9  3 1 6

Atomic structure:
Cell lengths 5.3853, 5.3853, 10.7378 Å; angles 90.00, 90.00, 90.00 degrees
Space group I-42m (No. 121)
Asymmetric unit:
Li (0.0000, 0.0000, 0.0000) (multiplicity 2)
Ti (0.0000, 0.0000, 0.5000) (multiplicity 2)
Cu (0.0000, 0.5000, 0.2500) (multiplicity 4)
S (0.2388, 0.2388, 0.6294) (multiplicity 8)

---

Record 9
The following is a computed powder X-ray diffraction pattern of LiTlCuS2. It was derived from a DFT-relaxed cell (GGA-PBE, Alexandria), using Cu Kα, 1.54184 Å.
Neutral-atom scattering factors, no anomalous dispersion.

Peak list (10 most intense, 2θ = 10–80°, low angle first)
2θ/deg  Rel. int.  (hkl)
11.05  73  0 0 1
18.27  49  2 0 -2
24.12  67  1 1 0
27.14  65  2 0 -3
27.29  54  4 0 -2
28.59  86  4 0 -1
29.36  100  1 1 -2
30.79  53  3 1 -1
36.35  64  1 1 2
46.14  77  0 2 0

Atomic structure:
Cell lengths 13.1210, 3.9368, 9.9148 Å; angles 90.00, 126.17, 90.00 degrees
Space group C2/m (No. 12)
Asymmetric unit:
Li (0.1445, 0.0000, 0.4214) (multiplicity 4)
Tl (0.1728, 0.5000, 0.1208) (multiplicity 4)
Cu (0.0429, 0.5000, 0.6754) (multiplicity 4)
S (0.0746, 0.0000, 0.8169) (multiplicity 4)
S (0.1650, 0.5000, 0.5756) (multiplicity 4)

---

Record 10
The following is a computed powder X-ray diffraction pattern of LiCuWS4. It was derived from a DFT-relaxed cell (GGA-PBE, Alexandria), using Cu Kα, 1.54184 Å.
Neutral-atom scattering factors, no anomalous dispersion.

Peak list (10 most intense, 2θ = 10–80°, low angle first)
2θ/deg  Rel. int.  (hkl)
14.50  100  1 1 0
18.89  30  1 1 1
20.30  23  0 2 1
24.11  36  2 0 0
24.23  32  0 0 2
27.39  30  1 3 0
28.35  46  1 1 2
36.88  24  1 3 2
41.25  32  0 4 2
48.38  46  2 4 2

Atomic structure:
Cell lengths 7.3824, 10.8869, 7.3470 Å; angles 90.00, 90.00, 90.00 degrees
Space group Cmcm (No. 63)
Asymmetric unit:
Li (0.0000, 0.0000, 0.0000) (multiplicity 4)
Cu (0.0000, 0.3817, 0.2500) (multiplicity 4)
W (0.0000, 0.3661, 0.7500) (multiplicity 4)
S (0.0000, 0.2519, 0.5026) (multiplicity 8)
S (0.2455, 0.4886, 0.7500) (multiplicity 8)

---

Record 11
The following is a computed powder X-ray diffraction pattern of LiYCuS2. It was derived from a DFT-relaxed cell (GGA-PBE, Alexandria), using Cu Kα, 1.54184 Å.
Neutral-atom scattering factors, no anomalous dispersion.

Peak list (10 most intense, 2θ = 10–80°, low angle first)
2θ/deg  Rel. int.  (hkl)
15.97  100  0 1 0
26.29  29  1 1 1
30.31  48  1 0 2
34.44  89  1 1 2
37.06  38  2 1 0
44.85  39  1 2 2
46.98  31  2 2 0
58.93  16  1 3 2
60.15  15  3 1 2
72.61  16  2 2 4

Atomic structure:
Cell lengths 5.3932, 5.5510, 7.0433 Å; angles 90.00, 90.00, 90.00 degrees
Space group Pccm (No. 49)
Asymmetric unit:
Li (0.0000, 0.0000, 0.2500) (multiplicity 2)
Y (0.5000, 0.5000, 0.2500) (multiplicity 2)
Cu (0.0000, 0.5000, 0.0000) (multiplicity 2)
S (0.2693, 0.2096, 0.0000) (multiplicity 4)

---

Record 12
The following is a computed powder X-ray diffraction pattern of LiCu2Sb. It was derived from a DFT-relaxed cell (GGA-PBE, Alexandria), using Cu Kα, 1.54184 Å.
Neutral-atom scattering factors, no anomalous dispersion.

Peak list (10 most intense, 2θ = 10–80°, low angle first)
2θ/deg  Rel. int.  (hkl)
16.78  46  0 0 1
21.37  58  0 1 0
27.29  38  0 1 1
31.16  42  1 0 0
38.09  46  1 1 0
38.71  41  1 1 -1
40.45  100  0 1 2
43.52  46  0 2 0
44.88  49  1 1 1
46.50  49  1 1 -2

Atomic structure:
Cell lengths 2.9487, 4.1587, 5.4278 Å; angles 90.00, 103.21, 90.00 degrees
Space group Pm (No. 6)
Asymmetric unit:
Li (0.0000, 0.0000, 0.0000) (multiplicity 1)
Cu (0.3443, 0.5000, 0.7094) (multiplicity 1)
Cu (0.7436, 0.0000, 0.5391) (multiplicity 1)
Sb (0.5930, 0.5000, 0.2356) (multiplicity 1)